(1)
Calculated XRD peak list
Compound: Ba3Tl3Pd2
Radiation: λ = 1.5418 Å (Cu Kα)
Structure: the PBE geometry in Alexandria

Principal peaks in the range 2θ from 10° to 90°, sorted by position:
28.33 deg, d = 3.150 Å, I = 100; 29.15 deg, d = 3.063 Å, I = 82; 29.39 deg, d = 3.039 Å, I = 27; 32.00 deg, d = 2.797 Å, I = 29; 32.74 deg, d = 2.735 Å, I = 59; 35.31 deg, d = 2.542 Å, I = 40; 35.47 deg, d = 2.531 Å, I = 38; 38.55 deg, d = 2.335 Å, I = 55; 40.35 deg, d = 2.235 Å, I = 29; 49.18 deg, d = 1.853 Å, I = 32

```
Ba3Tl3Pd2
1.0
2.3354 -6.0869 0.0000
2.3354 6.0869 0.0000
0.0000 0.0000 18.2242
Ba Tl Pd
6 6 4
Cartesian
2.3354 5.3680 11.0196 Ba
2.3354 5.3680 16.3168 Ba
2.3354 1.9228 13.6682 Ba
2.3354 -1.9228 4.5561 Ba
2.3354 -5.3680 1.9075 Ba
2.3354 -5.3680 7.2047 Ba
2.3354 1.9342 9.7922 Tl
2.3354 1.9342 17.5441 Tl
2.3354 1.6306 4.5561 Tl
2.3354 -1.6306 13.6682 Tl
2.3354 -1.9342 0.6801 Tl
2.3354 -1.9342 8.4320 Tl
2.3354 3.2003 2.0912 Pd
2.3354 3.2003 7.0209 Pd
2.3354 -3.2003 11.2033 Pd
2.3354 -3.2003 16.1330 Pd
```



(2)
Calculated XRD peak list
Compound: La3Sm7
Radiation: λ = 1.5418 Å (Cu Kα)
Structure: the PBE geometry in Alexandria

Principal peaks in the range 2θ from 10° to 90°, sorted by position:
29.87 deg, d = 2.992 Å, I = 100; 34.56 deg, d = 2.595 Å, I = 34; 34.74 deg, d = 2.582 Å, I = 17; 49.70 deg, d = 1.834 Å, I = 18; 49.84 deg, d = 1.830 Å, I = 18; 59.05 deg, d = 1.564 Å, I = 22; 59.10 deg, d = 1.563 Å, I = 7; 59.24 deg, d = 1.560 Å, I = 7; 59.34 deg, d = 1.557 Å, I = 7; 80.74 deg, d = 1.190 Å, I = 9

```
La3Sm7
1.0
9.3570 -2.5942 0.0000
9.3570 2.5942 0.0000
-1.4657 0.0000 7.1642
La Sm
3 7
Cartesian
0.0000 0.0000 0.0000 La
2.8424 0.0000 4.2975 La
14.4059 0.0000 2.8668 La
-0.7329 0.0000 3.5821 Sm
3.5949 0.0000 0.7198 Sm
7.1890 0.0000 1.4214 Sm
6.4719 0.0000 5.0136 Sm
10.7764 0.0000 2.1506 Sm
10.0593 0.0000 5.7428 Sm
13.6534 0.0000 6.4444 Sm
```



(3)
Calculated XRD peak list
Compound: AlTl2BS4
Radiation: λ = 1.5418 Å (Cu Kα)
Structure: the PBE geometry in Alexandria

Principal peaks in the range 2θ from 10° to 90°, sorted by position:
17.18 deg, d = 5.161 Å, I = 70; 26.74 deg, d = 3.334 Å, I = 43; 28.96 deg, d = 3.083 Å, I = 100; 31.96 deg, d = 2.800 Å, I = 75; 35.69 deg, d = 2.516 Å, I = 27; 38.17 deg, d = 2.357 Å, I = 23; 42.14 deg, d = 2.144 Å, I = 17; 45.15 deg, d = 2.008 Å, I = 16; 48.62 deg, d = 1.873 Å, I = 46; 52.64 deg, d = 1.739 Å, I = 23

```
AlTl2BS4
1.0
-3.3340 3.3340 4.0752
3.3340 -3.3340 4.0752
3.3340 3.3340 -4.0752
Al Tl B S
1 2 1 4
Cartesian
0.0000 0.0000 0.0000 Al
3.3340 0.0000 2.0376 Tl
0.0000 0.0000 4.0752 Tl
0.0000 3.3340 2.0376 B
-0.8269 1.8715 1.0296 S
1.4625 2.5071 3.0456 S
0.8269 4.7965 1.0296 S
-1.4625 4.1609 3.0456 S
```